Calculated powder diffractogram
Compound: UInNi4
Radiation: a wavelength of 1.5418 Å
Structure: DFT lattice parameters and positions (PBE)
Lines closer than 0.1° are merged.

```
data_UInNi4
_cell_length_a 7.0099
_cell_length_b 7.0099
_cell_length_c 7.0099
_cell_angle_alpha 90.00
_cell_angle_beta 90.00
_cell_angle_gamma 90.00
_symmetry_space_group_name_H-M 'F -4 3 m'
_symmetry_Int_Tables_number 216
_symmetry_space_group_name_Hall 'F -4 2 3'
loop_
_atom_site_label
_atom_site_type_symbol
_atom_site_fract_x
_atom_site_fract_y
_atom_site_fract_z
U1 U 0.0000 0.0000 0.0000
In1 In 0.2500 0.2500 0.7500
Ni1 Ni 0.1245 0.1245 0.3755
```

Main lines, most intense first (15° ≤ 2θ ≤ 90°):
2θ = 42.8°, intensity 100, hkl 3 1 1
2θ = 36.2°, intensity 65, hkl 2 2 0
2θ = 69.7°, intensity 31, hkl 5 1 1
2θ = 65.2°, intensity 24, hkl 4 2 2
2θ = 22.0°, intensity 22, hkl 1 1 1
2θ = 76.9°, intensity 21, hkl 4 4 0

Calculated powder diffractogram
Compound: YInNi
Radiation: a wavelength of 1.5418 Å
Structure: DFT lattice parameters and positions (PBE)
Lines closer than 0.1° are merged.

```
data_YInNi
_cell_length_a 7.5220
_cell_length_b 7.5220
_cell_length_c 3.7632
_cell_angle_alpha 90.00
_cell_angle_beta 90.00
_cell_angle_gamma 120.00
_symmetry_space_group_name_H-M 'P -6 2 m'
_symmetry_Int_Tables_number 189
_symmetry_space_group_name_Hall 'P -6 -2'
loop_
_atom_site_label
_atom_site_type_symbol
_atom_site_fract_x
_atom_site_fract_y
_atom_site_fract_z
Y1 Y 0.0000 0.5894 0.0000
In1 In 0.0000 0.2544 0.5000
Ni1 Ni 0.0000 0.0000 0.0000
Ni2 Ni 0.3333 0.6667 0.5000
```

Main lines, most intense first (15° ≤ 2θ ≤ 90°):
2θ = 36.5°, intensity 100, hkl 2 0 1
2θ = 33.7°, intensity 71, hkl 1 1 1
2θ = 62.1°, intensity 25, hkl 2 1 2
2θ = 67.4°, intensity 21, hkl 3 2 1
2θ = 41.6°, intensity 21, hkl 3 0 0
2θ = 43.9°, intensity 21, hkl 2 1 1

Calculated powder diffractogram
Compound: YIn2Ni
Radiation: a wavelength of 1.5418 Å
Structure: DFT lattice parameters and positions (PBE)
Lines closer than 0.1° are merged.

```
data_YIn2Ni
_cell_length_a 4.3342
_cell_length_b 10.5085
_cell_length_c 7.3819
_cell_angle_alpha 90.00
_cell_angle_beta 90.00
_cell_angle_gamma 90.00
_symmetry_space_group_name_H-M 'C m c m'
_symmetry_Int_Tables_number 63
_symmetry_space_group_name_Hall '-C 2c 2'
loop_
_atom_site_label
_atom_site_type_symbol
_atom_site_fract_x
_atom_site_fract_y
_atom_site_fract_z
Y1 Y 0.0000 0.0680 0.2500
In1 In 0.0000 0.3567 0.0491
Ni1 Ni 0.0000 0.2129 0.7500
```

Main lines, most intense first (15° ≤ 2θ ≤ 90°):
2θ = 33.0°, intensity 100, hkl 1 1 2
2θ = 35.1°, intensity 50, hkl 1 3 1
2θ = 41.7°, intensity 42, hkl 2 0 0
2θ = 32.9°, intensity 41, hkl 1 3 0
2θ = 41.2°, intensity 41, hkl 1 3 2
2θ = 43.1°, intensity 30, hkl 1 1 3

Calculated powder diffractogram
Compound: Y12InNi6
Radiation: a wavelength of 1.5418 Å
Structure: DFT lattice parameters and positions (PBE)
Lines closer than 0.1° are merged.

```
data_Y12InNi6
_cell_length_a 9.7531
_cell_length_b 9.7531
_cell_length_c 9.7531
_cell_angle_alpha 90.00
_cell_angle_beta 90.00
_cell_angle_gamma 90.00
_symmetry_space_group_name_H-M 'I m -3'
_symmetry_Int_Tables_number 204
_symmetry_space_group_name_Hall '-I 2 2 3'
loop_
_atom_site_label
_atom_site_type_symbol
_atom_site_fract_x
_atom_site_fract_y
_atom_site_fract_z
Y1 Y 0.0000 0.3024 0.1874
In1 In 0.0000 0.0000 0.0000
Ni1 Ni 0.0000 0.1228 0.5000
```

Main lines, most intense first (15° ≤ 2θ ≤ 90°):
2θ = 34.4°, intensity 100, hkl 3 1 2
2θ = 31.8°, intensity 34, hkl 2 2 2
2θ = 58.3°, intensity 26, hkl 5 2 3
2θ = 47.5°, intensity 26, hkl 5 0 1
2θ = 54.9°, intensity 22, hkl 5 3 0
2θ = 29.0°, intensity 19, hkl 3 0 1

Calculated powder diffractogram
Compound: YIn2Ni9
Radiation: a wavelength of 1.5418 Å
Structure: DFT lattice parameters and positions (PBE)
Lines closer than 0.1° are merged.

```
data_YIn2Ni9
_cell_length_a 8.2225
_cell_length_b 8.2225
_cell_length_c 4.8280
_cell_angle_alpha 90.00
_cell_angle_beta 90.00
_cell_angle_gamma 90.00
_symmetry_space_group_name_H-M 'P 4/m b m'
_symmetry_Int_Tables_number 127
_symmetry_space_group_name_Hall '-P 4 2ab'
loop_
_atom_site_label
_atom_site_type_symbol
_atom_site_fract_x
_atom_site_fract_y
_atom_site_fract_z
Y1 Y 0.0000 0.0000 0.0000
In1 In 0.1244 0.3756 0.0000
Ni1 Ni 0.0000 0.5000 0.5000
Ni2 Ni 0.0633 0.2058 0.5000
Ni3 Ni 0.1765 0.6765 0.2487
```

Main lines, most intense first (15° ≤ 2θ ≤ 90°):
2θ = 39.4°, intensity 100, hkl 3 1 1
2θ = 44.9°, intensity 95, hkl 2 1 2
2θ = 43.9°, intensity 52, hkl 3 2 1
2θ = 45.5°, intensity 42, hkl 4 1 0
2θ = 43.5°, intensity 27, hkl 2 0 2
2θ = 46.9°, intensity 21, hkl 3 3 0

Calculated powder diffractogram
Compound: ZrInNi4
Radiation: a wavelength of 1.5418 Å
Structure: DFT lattice parameters and positions (PBE)
Lines closer than 0.1° are merged.

```
data_ZrInNi4
_cell_length_a 6.8695
_cell_length_b 6.8695
_cell_length_c 6.8695
_cell_angle_alpha 90.00
_cell_angle_beta 90.00
_cell_angle_gamma 90.00
_symmetry_space_group_name_H-M 'F -4 3 m'
_symmetry_Int_Tables_number 216
_symmetry_space_group_name_Hall 'F -4 2 3'
loop_
_atom_site_label
_atom_site_type_symbol
_atom_site_fract_x
_atom_site_fract_y
_atom_site_fract_z
Zr1 Zr 0.0000 0.0000 0.0000
In1 In 0.2500 0.2500 0.7500
Ni1 Ni 0.1250 0.1250 0.3750
```

Main lines, most intense first (15° ≤ 2θ ≤ 90°):
2θ = 43.7°, intensity 100, hkl 3 1 1
2θ = 37.0°, intensity 46, hkl 2 2 0
2θ = 71.3°, intensity 29, hkl 5 1 1
2θ = 45.8°, intensity 25, hkl 2 2 2
2θ = 78.8°, intensity 23, hkl 4 4 0
2θ = 66.7°, intensity 15, hkl 4 2 2

Calculated powder diffractogram
Compound: ZrInNi2
Radiation: a wavelength of 1.5418 Å
Structure: DFT lattice parameters and positions (PBE)
Lines closer than 0.1° are merged.

```
data_ZrInNi2
_cell_length_a 3.2562
_cell_length_b 3.2562
_cell_length_c 6.1665
_cell_angle_alpha 90.00
_cell_angle_beta 90.00
_cell_angle_gamma 90.00
_symmetry_space_group_name_H-M 'P 4/m m m'
_symmetry_Int_Tables_number 123
_symmetry_space_group_name_Hall '-P 4 2'
loop_
_atom_site_label
_atom_site_type_symbol
_atom_site_fract_x
_atom_site_fract_y
_atom_site_fract_z
Zr1 Zr 0.0000 0.0000 0.0000
In1 In 0.0000 0.0000 0.5000
Ni1 Ni 0.5000 0.5000 0.2316
```

Main lines, most intense first (15° ≤ 2θ ≤ 90°):
2θ = 40.3°, intensity 100, hkl 1 0 2
2θ = 39.1°, intensity 56, hkl 1 1 0
2θ = 71.7°, intensity 34, hkl 2 1 2
2θ = 56.5°, intensity 18, hkl 2 0 0
2θ = 74.0°, intensity 14, hkl 1 1 4
2θ = 87.1°, intensity 9, hkl 2 0 4

Calculated powder diffractogram
Compound: Np3In
Radiation: a wavelength of 1.5418 Å
Structure: DFT lattice parameters and positions (PBE)
Lines closer than 0.1° are merged.

```
data_Np3In
_cell_length_a 4.5811
_cell_length_b 4.5811
_cell_length_c 4.5811
_cell_angle_alpha 90.00
_cell_angle_beta 90.00
_cell_angle_gamma 90.00
_symmetry_space_group_name_H-M 'P m -3 m'
_symmetry_Int_Tables_number 221
_symmetry_space_group_name_Hall '-P 4 2 3'
loop_
_atom_site_label
_atom_site_type_symbol
_atom_site_fract_x
_atom_site_fract_y
_atom_site_fract_z
Np1 Np 0.0000 0.0000 0.5000
In1 In 0.5000 0.5000 0.5000
```

Main lines, most intense first (15° ≤ 2θ ≤ 90°):
2θ = 33.9°, intensity 100, hkl 1 1 1
2θ = 39.3°, intensity 50, hkl 2 0 0
2θ = 67.9°, intensity 42, hkl 3 1 1
2θ = 56.8°, intensity 35, hkl 2 2 0
2θ = 71.3°, intensity 12, hkl 2 2 2
2θ = 84.6°, intensity 6, hkl 4 0 0